Entry 1:
For Cd4HgSe5, a structure optimized by DFT (GGA-PBE) gives the simulated PXRD pattern in this record (Cu Kα X-rays).
Peak positions follow from Bragg's law for the DFT cell and can differ from measured ones.

Structure:
```
data_Cd4HgSe5
_chemical_formula_sum 'Cd12 Hg3 Se15'
_cell_length_a 4.3914
_cell_length_b 4.3914
_cell_length_c 53.7814
_cell_angle_alpha 90.00
_cell_angle_beta 90.00
_cell_angle_gamma 120.00
_space_group_name_H-M_alt 'R 3 m'
_space_group_IT_number 160
_space_group_name_Hall 'R 3 -2"'
loop_
_atom_site_label
_atom_site_type_symbol
_atom_site_fract_x
_atom_site_fract_y
_atom_site_fract_z
Cd1 Cd 0.0000 0.0000 0.0000
Cd2 Cd 0.0000 0.0000 0.1993
Cd3 Cd 0.0000 0.0000 0.3997
Cd4 Cd 0.0000 0.0000 0.7995
Hg1 Hg 0.0000 0.0000 0.5993
Se1 Se 0.0000 0.0000 0.1493
Se2 Se 0.0000 0.0000 0.3498
Se3 Se 0.0000 0.0000 0.5491
Se4 Se 0.0000 0.0000 0.7495
Se5 Se 0.0000 0.0000 0.9500
```

Top 10 peaks for 2θ = 10–90°, low angle first:
2theta  I/Imax  h k l
24.83  100  0 1 5
28.75  6  1 0 10
41.11  74  1 1 0
48.63  48  2 0 5
59.54  12  2 0 20
65.52  19  1 2 5
67.44  2  2 1 10
74.91  24  3 0 0
80.34  14  3 0 15
89.21  8  2 2 0

Entry 2:
For Zr4Sn2C, a structure optimized by DFT (GGA-PBE) gives the simulated PXRD pattern in this record (Cu Kα X-rays).
Peak positions follow from Bragg's law for the DFT cell and can differ from measured ones.

Structure:
```
data_Zr4Sn2C
_chemical_formula_sum 'Zr8 Sn4 C2'
_cell_length_a 5.900
_cell_length_b 6.212
_cell_length_c 8.707
_cell_angle_alpha 90.00
_cell_angle_beta 109.17
_cell_angle_gamma 90.00
_space_group_name_H-M_alt 'P 1 21/m 1'
_space_group_IT_number 11
_space_group_name_Hall '-P 2yb'
loop_
_atom_site_label
_atom_site_type_symbol
_atom_site_fract_x
_atom_site_fract_y
_atom_site_fract_z
Zr1 Zr 0.193 0.250 0.042
Zr2 Zr 0.259 0.750 0.343
Zr3 Zr 0.266 0.509 0.701
Sn1 Sn 0.245 0.250 0.396
Sn2 Sn 0.333 0.750 0.025
C1 C 0.111 0.250 0.789
```

Top 10 peaks for 2θ = 10–90°, low angle first:
2theta  I/Imax  h k l
28.74  31  0 2 0
31.28  35  1 0 -3
32.12  100  2 0 0
32.67  71  0 0 3
33.07  72  1 2 -1
36.25  58  0 2 2
36.50  79  1 2 1
36.65  41  1 2 -2
37.72  38  2 0 -3
41.20  31  1 0 3

Entry 3:
For Ho3ErNi2, a structure optimized by DFT (GGA-PBE) gives the simulated PXRD pattern in this record (Cu Kα X-rays).
Peak positions follow from Bragg's law for the DFT cell and can differ from measured ones.

Structure:
```
data_Ho3ErNi2
_chemical_formula_sum 'Ho12 Er4 Ni8'
_cell_length_a 6.635
_cell_length_b 13.202
_cell_length_c 6.864
_cell_angle_alpha 90.00
_cell_angle_beta 90.00
_cell_angle_gamma 90.00
_space_group_name_H-M_alt 'I b a m'
_space_group_IT_number 72
_space_group_name_Hall '-I 2 2c'
loop_
_atom_site_label
_atom_site_type_symbol
_atom_site_fract_x
_atom_site_fract_y
_atom_site_fract_z
Ho1 Ho 0.000 0.000 0.250
Ho2 Ho 0.000 0.263 0.250
Er1 Er 0.000 0.500 0.000
Ni1 Ni 0.216 0.139 0.000
```

Top 10 peaks for 2θ = 10–90°, low angle first:
2theta  I/Imax  h k l
26.87  65  2 0 0
27.01  59  0 4 0
29.33  33  0 2 2
30.09  56  1 1 2
35.83  79  1 3 2
37.71  37  2 0 2
37.82  35  0 4 2
38.47  100  2 4 0
40.20  37  2 2 2
67.72  38  2 4 4

Entry 4:
For Tl3MoCl7, a structure optimized by DFT (GGA-PBE) gives the simulated PXRD pattern in this record (Cu Kα X-rays).
Peak positions follow from Bragg's law for the DFT cell and can differ from measured ones.

Structure:
```
data_Tl3MoCl7
_chemical_formula_sum 'Tl6 Mo2 Cl14'
_cell_length_a 10.708
_cell_length_b 9.610
_cell_length_c 8.034
_cell_angle_alpha 90.00
_cell_angle_beta 118.70
_cell_angle_gamma 90.00
_space_group_name_H-M_alt 'C 1 m 1'
_space_group_IT_number 8
_space_group_name_Hall 'C -2y'
loop_
_atom_site_label
_atom_site_type_symbol
_atom_site_fract_x
_atom_site_fract_y
_atom_site_fract_z
Tl1 Tl 0.000 0.000 0.000
Tl2 Tl 0.006 0.280 0.522
Mo1 Mo 0.497 0.000 0.010
Cl1 Cl 0.137 0.319 0.226
Cl2 Cl 0.154 0.500 0.872
Cl3 Cl 0.343 0.000 0.149
Cl4 Cl 0.356 0.178 0.786
Cl5 Cl 0.472 0.500 0.625
```

Top 10 peaks for 2θ = 10–90°, low angle first:
2theta  I/Imax  h k l
18.90  75  2 0 0
22.39  100  0 2 1
23.17  51  2 0 -2
25.15  41  2 2 -1
25.28  25  0 0 2
33.26  47  2 2 1
34.24  27  4 0 -2
38.49  31  2 2 -3
38.92  28  4 2 -1
43.57  19  4 2 -3

Entry 5:
For Pr6HgRh3, a structure optimized by DFT (GGA-PBE) gives the simulated PXRD pattern in this record (Cu Kα X-rays).
Peak positions follow from Bragg's law for the DFT cell and can differ from measured ones.

Structure:
```
data_Pr6HgRh3
_chemical_formula_sum 'Pr12 Hg2 Rh6'
_cell_length_a 12.211
_cell_length_b 4.216
_cell_length_c 12.241
_cell_angle_alpha 90.00
_cell_angle_beta 108.73
_cell_angle_gamma 90.00
_space_group_name_H-M_alt 'P 1 21/m 1'
_space_group_IT_number 11
_space_group_name_Hall '-P 2yb'
loop_
_atom_site_label
_atom_site_type_symbol
_atom_site_fract_x
_atom_site_fract_y
_atom_site_fract_z
Pr1 Pr 0.031 0.250 0.392
Pr2 Pr 0.111 0.250 0.949
Pr3 Pr 0.211 0.750 0.262
Pr4 Pr 0.284 0.750 0.765
Pr5 Pr 0.358 0.250 0.537
Pr6 Pr 0.432 0.750 0.096
Hg1 Hg 0.446 0.250 0.305
Rh1 Rh 0.047 0.250 0.164
Rh2 Rh 0.186 0.750 0.503
Rh3 Rh 0.343 0.250 0.927
```

Top 10 peaks for 2θ = 10–90°, low angle first:
2theta  I/Imax  h k l
26.14  28  0 1 2
28.67  100  2 1 1
29.73  87  2 0 -4
31.43  76  3 1 0
34.15  36  1 1 3
38.77  48  4 1 -3
40.55  33  1 1 4
42.18  37  5 0 1
42.89  65  0 2 0
53.07  34  2 2 -4